Record 1
# TbSn4Ru
Simulated powder XRD pattern, a wavelength of 1.5418 Å. Input: a PBE-relaxed structure.
Intensities are scaled so that the largest is 100.

Principal peaks in the range 2θ from 10° to 90°, sorted by position:
(hkl)	2θ (°)	I/Imax
1 1 0	20.62	26
1 1 2	28.02	59
2 0 0	29.33	19
2 0 1	30.85	100
1 0 3	31.97	18
2 0 2	35.05	22
0 0 4	38.08	23
2 0 3	41.22	25
2 2 2	46.33	69
3 1 2	51.19	17
4 0 0	60.83	18
4 2 1	69.76	18

Cell and atoms:
Lattice parameters (Å, degrees): 6.0907 6.0907 9.4565 90.00 90.00 90.00
Space group P4_2/nmc (No. 137, origin choice 2)
One atom of each set of equivalent atoms:
Tb (0.2500, 0.7500, 0.2500)
Sn (0.0198, 0.2500, 0.0412)
Ru (0.2500, 0.7500, 0.7500)



Record 2
# Pm2ErIn2Hg2
Simulated powder XRD pattern, a wavelength of 1.5418 Å. Input: a PBE-relaxed structure.
Intensities are scaled so that the largest is 100.

Principal peaks in the range 2θ from 10° to 90°, sorted by position:
(hkl)	2θ (°)	I/Imax
1 0 4	24.53	17
0 1 5	26.36	13
1 0 7	30.74	18
0 1 8	33.21	100
1 1 0	36.65	92
2 0 8	50.28	31
1 0 16	57.01	12
1 1 15	62.62	17
1 2 8	63.82	30
3 0 0	65.99	17
2 2 0	77.93	10
3 1 8	87.38	13

Cell and atoms:
Lattice parameters (Å, degrees): 4.9037 4.9037 27.9476 90.00 90.00 120.00
Space group R-3m (No. 166, hexagonal axes)
One atom of each set of equivalent atoms:
Pm (0.0000, 0.0000, 0.1273)
Er (0.0000, 0.0000, 0.0000)
In (0.0000, 0.0000, 0.2594)
Hg (0.0000, 0.0000, 0.3869)



Record 3
# Dy8Tm3Th
Simulated powder XRD pattern, a wavelength of 1.5418 Å. Input: a PBE-relaxed structure.
Intensities are scaled so that the largest is 100.

Principal peaks in the range 2θ from 10° to 90°, sorted by position:
(hkl)	2θ (°)	I/Imax
1 1 2	20.08	30
2 0 0	23.27	6
2 2 0	33.08	100
1 1 6	38.90	6
3 1 2	39.06	11
0 0 8	47.31	6
4 0 0	47.57	12
2 2 8	58.98	13
4 2 4	59.15	26
4 0 8	69.35	8
2 0 12	78.81	6
6 2 0	79.22	11

Cell and atoms:
Lattice parameters (Å, degrees): 7.6458 7.6458 15.3698 90.00 90.00 90.00
Space group I4/mmm (No. 139)
One atom of each set of equivalent atoms:
Dy (0.2500, 0.2500, 0.1252)
Tm (0.0000, 0.0000, 0.0000)
Tm (0.0000, 0.5000, 0.2500)
Th (0.0000, 0.0000, 0.5000)



Record 4
# CePO4
Simulated powder XRD pattern, a wavelength of 1.5418 Å. Input: a PBE-relaxed structure.
Intensities are scaled so that the largest is 100.

Principal peaks in the range 2θ from 10° to 90°, sorted by position:
(hkl)	2θ (°)	I/Imax
1 0 0	14.23	100
1 0 1	19.77	64
1 1 0	24.78	22
2 0 0	28.68	97
1 0 2	31.10	76
1 1 2	37.36	26
2 1 1	40.80	37
3 0 1	45.93	21
2 1 2	47.77	48
2 0 3	51.47	16
3 0 2	52.35	25
3 1 2	60.79	18

Cell and atoms:
Lattice parameters (Å, degrees): 7.1871 7.1871 6.4845 90.00 90.00 120.00
Space group P6_222 (No. 180)
One atom of each set of equivalent atoms:
Ce (0.0000, 0.5000, 0.1667)
P (0.0000, 0.5000, 0.6667)
O (0.1373, 0.4462, 0.8133)



Record 5
# SrMg6Cd12
Simulated powder XRD pattern, a wavelength of 1.5418 Å. Input: a PBE-relaxed structure.
Intensities are scaled so that the largest is 100.

Principal peaks in the range 2θ from 10° to 90°, sorted by position:
(hkl)	2θ (°)	I/Imax
0 1 2	19.13	44
1 1 3	29.73	50
1 3 1	30.44	100
0 3 3	35.90	42
3 2 1	36.51	28
0 2 4	38.83	21
2 3 2	39.68	21
2 4 1	44.26	14
5 0 2	44.66	39
3 0 6	59.81	11
4 4 3	64.49	11
3 5 4	70.05	12

Cell and atoms:
Lattice parameters (Å, degrees): 12.7633 12.7633 10.2211 90.00 90.00 120.00
Space group R-3m (No. 166, hexagonal axes)
One atom of each set of equivalent atoms:
Sr (0.0000, 0.0000, 0.0000)
Mg (0.0608, 0.5304, 0.2348)
Cd (0.0000, 0.3890, 0.5000)
Cd (0.0836, 0.1671, 0.2905)



Record 6
# NpPN4
Simulated powder XRD pattern, a wavelength of 1.5418 Å. Input: a PBE-relaxed structure.
Intensities are scaled so that the largest is 100.

Principal peaks in the range 2θ from 10° to 90°, sorted by position:
(hkl)	2θ (°)	I/Imax
0 0 1	19.63	41
1 1 0	23.81	47
1 1 1	31.04	100
2 0 0	33.93	31
2 0 1	39.50	31
1 1 2	46.96	21
2 2 0	48.74	16
2 2 1	53.03	14
2 0 2	53.32	26
3 1 0	54.95	15
3 1 1	58.92	33
3 1 3	87.05	12

Cell and atoms:
Lattice parameters (Å, degrees): 5.2844 5.2844 4.5235 90.00 90.00 90.00
Space group P4/nbm (No. 125, origin choice 2)
One atom of each set of equivalent atoms:
Np (0.2500, 0.2500, 0.0000)
P (0.2500, 0.7500, 0.5000)
N (0.0815, 0.5815, 0.2609)



Record 7
# YSc2Ru
Simulated powder XRD pattern, a wavelength of 1.5418 Å. Input: a PBE-relaxed structure.
Intensities are scaled so that the largest is 100.

Principal peaks in the range 2θ from 10° to 90°, sorted by position:
(hkl)	2θ (°)	I/Imax
0 2 0	20.80	58
1 1 1	21.94	42
2 1 1	30.78	24
2 2 0	32.48	40
1 1 2	34.14	100
2 2 1	35.88	42
1 3 1	37.14	43
3 0 1	40.39	49
3 1 1	41.84	31
1 3 2	45.82	29
3 3 1	52.08	19
1 5 2	64.12	22

Cell and atoms:
Lattice parameters (Å, degrees): 7.2173 8.5391 5.9751 90.00 90.00 90.00
Space group Pnma (No. 62)
One atom of each set of equivalent atoms:
Y (0.0356, 0.2500, 0.1220)
Sc (0.1739, 0.0638, 0.6541)
Ru (0.1167, 0.7500, 0.4314)



Record 8
# NiBr2Cl
Simulated powder XRD pattern, a wavelength of 1.5418 Å. Input: a PBE-relaxed structure.
Intensities are scaled so that the largest is 100.

Principal peaks in the range 2θ from 10° to 90°, sorted by position:
(hkl)	2θ (°)	I/Imax
0 1 1	17.29	78
1 1 1	22.39	14
1 1 2	27.02	14
0 2 0	30.24	16
2 1 0	32.29	45
1 1 3	33.43	100
2 2 0	41.99	24
1 2 3	42.90	38
3 0 3	51.15	29
0 0 6	53.47	13
1 3 3	55.78	23
2 1 6	63.86	11

Cell and atoms:
Lattice parameters (Å, degrees): 6.2776 5.9117 10.2816 90.00 90.00 90.00
Space group Pnna (No. 52)
One atom of each set of equivalent atoms:
Ni (0.2500, 0.0000, 0.0934)
Br (0.0714, 0.2220, 0.9215)
Cl (0.1095, 0.2500, 0.2500)



Record 9
# HoAlAg2S4
Simulated powder XRD pattern, a wavelength of 1.5418 Å. Input: a PBE-relaxed structure.
Intensities are scaled so that the largest is 100.

Principal peaks in the range 2θ from 10° to 90°, sorted by position:
(hkl)	2θ (°)	I/Imax
0 0 1	14.98	35
2 0 -1	24.93	73
0 2 0	27.09	83
2 1 -1	28.43	23
0 0 2	30.22	70
2 2 -2	33.79	48
2 2 -3	37.14	100
2 0 1	39.56	37
0 4 -2	45.81	26
2 2 0	45.96	37
4 0 -2	51.15	22
0 4 0	55.87	21

Cell and atoms:
Lattice parameters (Å, degrees): 7.1438 7.9232 7.9632 119.81 116.62 90.04
Space group P1 (No. 1)
One atom of each set of equivalent atoms:
Ho (0.0000, 0.0000, 0.0000)
Ho (0.9999, 0.4861, 0.0000)
Al (0.4770, 0.9616, 0.4371)
Al (0.9598, 0.9617, 0.4374)
Ag (0.2234, 0.4680, 0.4499)
Ag (0.4628, 0.4544, 0.9249)
Ag (0.4628, 0.9567, 0.9250)
Ag (0.6964, 0.4404, 0.3947)
S (0.2450, 0.1807, 0.4904)
S (0.2449, 0.7958, 0.4904)
S (0.2776, 0.2697, 0.0529)
S (0.2814, 0.7660, 0.0457)
S (0.7642, 0.7659, 0.0459)
S (0.7697, 0.2123, 0.5400)
S (0.7696, 0.8137, 0.5400)
S (0.7758, 0.2698, 0.0540)



Record 10
# PmMgSb2
Simulated powder XRD pattern, a wavelength of 1.5418 Å. Input: a PBE-relaxed structure.
Intensities are scaled so that the largest is 100.

Principal peaks in the range 2θ from 10° to 90°, sorted by position:
(hkl)	2θ (°)	I/Imax
1 0 2	25.83	35
1 1 1	29.70	15
1 0 3	31.65	8
0 0 4	32.46	10
1 1 2	32.93	100
1 0 4	38.47	25
2 0 0	40.83	39
2 1 2	48.94	12
2 0 4	53.10	10
2 1 4	57.34	16
2 2 0	59.12	15
3 1 2	69.35	23

Cell and atoms:
Lattice parameters (Å, degrees): 4.4208 4.4208 11.0319 90.00 90.00 90.00
Space group P4/nmm (No. 129, origin choice 2)
One atom of each set of equivalent atoms:
Pm (0.2500, 0.2500, 0.2182)
Mg (0.2500, 0.7500, 0.5000)
Sb (0.2500, 0.2500, 0.6770)
Sb (0.2500, 0.7500, 0.0000)



Record 11
# Li2Tl2F
Simulated powder XRD pattern, a wavelength of 1.5418 Å. Input: a PBE-relaxed structure.
Intensities are scaled so that the largest is 100.

Principal peaks in the range 2θ from 10° to 90°, sorted by position:
(hkl)	2θ (°)	I/Imax
0 1 0	16.19	100
0 1 -1	17.85	48
0 1 1	27.90	45
1 0 0	28.23	37
1 0 -1	28.40	35
0 2 -1	29.90	62
0 1 -2	30.88	44
0 0 2	33.91	36
1 1 0	34.45	39
-1 1 1	34.64	38
1 -1 1	36.03	32
1 1 -2	36.42	31

Cell and atoms:
Lattice parameters (Å, degrees): 3.3022 6.0150 6.0211 113.50 105.27 90.19
Space group P1 (No. 1)
One atom of each set of equivalent atoms:
Li (0.0000, 0.0000, 0.0000)
Li (0.2542, 0.8188, 0.5049)
Tl (0.4987, 0.5206, 0.0007)
Tl (0.7223, 0.2791, 0.4522)
F (0.8289, 0.8705, 0.6598)



Record 12
# Mg6HgAu5
Simulated powder XRD pattern, a wavelength of 1.5418 Å. Input: a PBE-relaxed structure.
Intensities are scaled so that the largest is 100.

Principal peaks in the range 2θ from 10° to 90°, sorted by position:
(hkl)	2θ (°)	I/Imax
0 0 2	26.65	30
1 3 0	26.81	59
1 3 2	38.15	100
2 0 0	38.44	20
0 6 2	47.12	13
2 0 2	47.39	13
2 6 0	55.25	14
1 3 4	62.12	12
2 6 2	62.37	12
2 0 4	68.95	21
3 3 2	69.34	14
2 6 4	81.66	9

Cell and atoms:
Lattice parameters (Å, degrees): 4.6838 14.1643 6.6902 90.00 90.00 90.00
Space group Cmmm (No. 65)
One atom of each set of equivalent atoms:
Mg (0.0000, 0.0000, 0.2413)
Mg (0.0000, 0.3289, 0.2457)
Hg (0.0000, 0.5000, 0.5000)
Au (0.0000, 0.1651, 0.0000)
Au (0.0000, 0.1653, 0.5000)
Au (0.0000, 0.5000, 0.0000)



Record 13
# Pu2PaSi3Pt4
Simulated powder XRD pattern, a wavelength of 1.5418 Å. Input: a PBE-relaxed structure.
Intensities are scaled so that the largest is 100.

Principal peaks in the range 2θ from 10° to 90°, sorted by position:
(hkl)	2θ (°)	I/Imax
1 0 2	26.65	18
1 0 3	32.39	20
0 0 4	32.65	12
1 1 2	34.20	100
1 0 4	39.17	12
2 0 0	42.85	39
1 0 5	46.65	17
2 1 3	54.72	11
2 0 4	54.89	11
2 2 0	62.21	13
2 1 5	65.20	13
3 1 2	72.95	23

Cell and atoms:
Lattice parameters (Å, degrees): 4.2206 4.2206 10.9716 90.00 90.00 90.00
Space group P-4m2 (No. 115)
One atom of each set of equivalent atoms:
Pu (0.0000, 0.5000, 0.2379)
Pa (0.0000, 0.0000, 0.5000)
Si (0.0000, 0.5000, 0.8838)
Si (0.5000, 0.5000, 0.5000)
Pt (0.0000, 0.0000, 0.0000)
Pt (0.0000, 0.5000, 0.6669)
Pt (0.5000, 0.5000, 0.0000)